# Cr2NiW
Theoretical X-ray powder pattern, Cu Kα (λ = 1.5418 Å). Input: a crystal structure in Alexandria, relaxed with GGA-PBE.

Cell and atoms:
```
data_Cr2NiW
_symmetry_space_group_name_H-M 'C 1 2/m 1'
_symmetry_Int_Tables_number 12
_cell_length_a 5.066
_cell_length_b 8.462
_cell_length_c 2.543
_cell_angle_alpha 90.00
_cell_angle_beta 110.33
_cell_angle_gamma 90.00
loop_
_symmetry_equiv_pos_as_xyz
'x,y,z'
'-x,-y,-z'
'-x,y,-z'
'x,-y,z'
'x+1/2,y+1/2,z'
'-x+1/2,-y+1/2,-z'
'-x+1/2,y+1/2,-z'
'x+1/2,-y+1/2,z'
loop_
_atom_site_label
_atom_site_type_symbol
_atom_site_fract_x
_atom_site_fract_y
_atom_site_fract_z
Cr1 Cr 0.250 0.250 0.000
Ni1 Ni 0.000 0.000 0.500
W1 W 0.000 0.500 0.500
```

Peak list (10 most intense, 2θ = 10–80°, in order of rising 2θ)
| two_theta | Rel. int. |
| --- | --- |
| 21.00 | 49.1 |
| 21.45 | 66.4 |
| 37.07 | 17.1 |
| 37.39 | 16.7 |
| 42.74 | 52.9 |
| 43.44 | 50.4 |
| 43.57 | 100.0 |
| 43.70 | 99.1 |
| 62.58 | 32.6 |
| 78.90 | 32.6 |